Structure and computed powder diffractogram of Rb2PtI5O2 (a structure optimized by DFT (PBE); Cu Kα X-rays).
No peak broadening, texture or thermal motion is included.

Top 6 peaks for 2θ = 5–70°, in order of rising 2θ:
12.1°, intensity 100.0; 14.6°, intensity 46.3; 25.1°, intensity 52.8; 26.6°, intensity 57.6; 28.5°, intensity 47.6; 31.5°, intensity 47.4

Crystal structure
abc: 8.002 8.002 12.146
angles: 90.00 90.00 66.09
Element x y z (fractional)
Rb 0.033 0.412 0.000
Rb 0.412 0.033 0.500
Rb 0.588 0.967 0.000
Rb 0.967 0.588 0.500
Pt 0.471 0.529 0.771
Pt 0.529 0.471 0.271
I 0.173 0.827 0.832
I 0.225 0.775 0.223
I 0.260 0.344 0.747
I 0.344 0.260 0.247
I 0.445 0.555 0.506
I 0.555 0.445 0.006
I 0.656 0.740 0.747
I 0.740 0.656 0.247
I 0.775 0.225 0.723
I 0.827 0.173 0.332
O 0.034 0.751 0.923
O 0.249 0.966 0.923
O 0.751 0.034 0.423
O 0.966 0.249 0.423

Structure and computed powder diffractogram of Pu2IO10 (a structure optimized by DFT (PBE); Cu Kα X-rays).
No peak broadening, texture or thermal motion is included.

Top 6 peaks for 2θ = 5–70°, in order of rising 2θ:
16.0°, intensity 100.0; 25.9°, intensity 16.0; 26.8°, intensity 38.0; 27.1°, intensity 49.3; 28.1°, intensity 41.9; 31.4°, intensity 32.3

Crystal structure
abc: 6.880 11.103 13.287
angles: 90.00 121.02 90.00
Element x y z (fractional)
Pu 0.048 0.246 0.461
Pu 0.048 0.254 0.961
Pu 0.408 0.205 0.818
Pu 0.408 0.295 0.318
Pu 0.592 0.705 0.682
Pu 0.592 0.795 0.182
Pu 0.952 0.746 0.039
Pu 0.952 0.754 0.539
I 0.274 0.702 0.866
I 0.274 0.798 0.366
I 0.726 0.202 0.634
I 0.726 0.298 0.134
O 0.025 0.233 0.764
O 0.025 0.267 0.264
O 0.077 0.604 0.097
O 0.077 0.896 0.597
O 0.139 0.105 0.008
O 0.139 0.395 0.508
O 0.223 0.728 0.482
O 0.223 0.772 0.982
O 0.228 0.178 0.630
O 0.228 0.322 0.130
O 0.252 0.547 0.887
O 0.252 0.953 0.387
O 0.306 0.671 0.688
O 0.306 0.829 0.188
O 0.356 0.221 0.468
O 0.356 0.279 0.968
O 0.382 0.054 0.854
O 0.382 0.446 0.354
O 0.427 0.142 0.287
O 0.427 0.358 0.787
O 0.573 0.642 0.213
O 0.573 0.858 0.713
O 0.618 0.554 0.646
O 0.618 0.946 0.146
O 0.644 0.721 0.032
O 0.644 0.779 0.532
O 0.694 0.171 0.812
O 0.694 0.329 0.312
O 0.748 0.047 0.613
O 0.748 0.453 0.113
O 0.772 0.678 0.870
O 0.772 0.822 0.370
O 0.777 0.228 0.018
O 0.777 0.272 0.518
O 0.861 0.605 0.492
O 0.861 0.895 0.992
O 0.923 0.104 0.403
O 0.923 0.396 0.903
O 0.975 0.733 0.736
O 0.975 0.767 0.236

Structure and computed powder diffractogram of RbI3O9 (a structure optimized by DFT (PBE); Cu Kα X-rays).
No peak broadening, texture or thermal motion is included.

Top 6 peaks for 2θ = 5–70°, in order of rising 2θ:
23.4°, intensity 99.3; 24.7°, intensity 87.2; 25.7°, intensity 100.0; 27.5°, intensity 51.1; 27.8°, intensity 68.6; 29.5°, intensity 51.1

Crystal structure
abc: 8.247 8.328 8.384
angles: 71.50 66.92 61.22
Element x y z (fractional)
Rb 0.247 0.274 0.281
Rb 0.753 0.726 0.719
I 0.215 0.707 0.796
I 0.226 0.767 0.267
I 0.254 0.191 0.806
I 0.746 0.809 0.194
I 0.774 0.233 0.733
I 0.785 0.293 0.204
O 0.009 0.253 0.653
O 0.042 0.123 0.134
O 0.156 0.528 0.775
O 0.188 0.867 0.453
O 0.252 0.614 0.013
O 0.327 0.939 0.824
O 0.384 0.525 0.330
O 0.402 0.212 0.576
O 0.426 0.160 0.918
O 0.574 0.840 0.082
O 0.598 0.788 0.424
O 0.616 0.475 0.670
O 0.673 0.061 0.176
O 0.748 0.386 0.987
O 0.812 0.133 0.547
O 0.844 0.472 0.225
O 0.958 0.877 0.866
O 0.991 0.747 0.347